Theoretical PXRD pattern of BaAgSO for Cu Kα (weighted mean of Kα1 and Kα2), from a structure optimized by DFT (GGA-PBE).
Intensities are scaled so that the largest is 100.

Principal peaks in the range 2θ = 5–70°, most intense first:
- 2θ 33.14, I 100
- 2θ 26.93, I 65
- 2θ 28.86, I 43
- 2θ 53.92, I 24
- 2θ 39.87, I 22
- 2θ 55.50, I 19
- 2θ 44.18, I 17
- 2θ 53.63, I 15
- 2θ 61.01, I 12
- 2θ 30.62, I 12

a b c (Å): 4.1003 13.2479 6.1878
angles (deg): 90.00 90.00 90.00
Space group Cmcm (No. 63)
Symmetry-distinct sites (fractional):
Ba  0.0000  0.0957  0.2500
Ag  0.0000  0.3786  0.2500
S  0.0000  0.2130  0.7500
O  0.0000  0.5000  0.0000



Theoretical PXRD pattern of BaAgSO for Cu Kα (weighted mean of Kα1 and Kα2), from a structure optimized by DFT (GGA-PBE).
Intensities are scaled so that the largest is 100.

Principal peaks in the range 2θ = 5–70°, most intense first:
- 2θ 28.57, I 100
- 2θ 25.38, I 68
- 2θ 42.65, I 60
- 2θ 33.25, I 53
- 2θ 53.04, I 49
- 2θ 30.04, I 42
- 2θ 52.43, I 28
- 2θ 52.13, I 19
- 2θ 69.55, I 16
- 2θ 55.12, I 12

a b c (Å): 4.2401 4.2401 11.9002
angles (deg): 90.00 90.00 120.00
Space group P6_3mc (No. 186)
Symmetry-distinct sites (fractional):
Ba  0.3333  0.6667  0.0000
Ag  0.0000  0.0000  0.2442
S  0.3333  0.6667  0.2948
O  0.0000  0.0000  0.0586



Theoretical PXRD pattern of Ba2Ag2Sb2O for Cu Kα (weighted mean of Kα1 and Kα2), from a structure optimized by DFT (GGA-PBE).
Intensities are scaled so that the largest is 100.

Principal peaks in the range 2θ = 5–70°, most intense first:
- 2θ 27.88, I 100
- 2θ 38.71, I 52
- 2θ 52.48, I 29
- 2θ 48.37, I 22
- 2θ 63.60, I 19
- 2θ 34.03, I 17
- 2θ 57.22, I 7
- 2θ 44.77, I 7
- 2θ 16.83, I 6
- 2θ 25.49, I 6

a b c (Å): 4.6524 4.6524 21.0744
angles (deg): 90.00 90.00 120.00
Space group P6_3/mmc (No. 194)
Symmetry-distinct sites (fractional):
Ba  0.0000  0.0000  0.0000
Ba  0.0000  0.0000  0.2500
Ag  0.3333  0.6667  0.1388
Sb  0.3333  0.6667  0.6089
O  0.3333  0.6667  0.2500